No. 1
Computed XRD peak list
Compound: LiZn2O2F
Radiation: a wavelength of 1.5418 Å
Structure: DFT lattice parameters and positions (PBE)
Kinematic intensities with the Lorentz-polarization factor, no thermal factor.

The 12 most intense peaks (5 to 70 degrees two-theta), in order of falling intensity:
2θ (°)  I_rel  hkl
18.22  100  2 0 0
31.72  94  3 1 0
36.07  90  3 1 1
33.83  73  0 0 2
35.80  73  0 2 1
24.70  60  1 1 1
40.45  56  2 2 1
56.12  46  3 3 0
61.99  45  3 1 3
38.67  43  2 0 2
47.06  36  3 1 2
61.81  31  0 2 3

Atomic structure:
```
data_LiZn2O2F
_chemical_formula_sum 'Li4 Zn8 O8 F4'
_symmetry_space_group_name_H-M 'C m c 21'
_symmetry_Int_Tables_number 36
_symmetry_space_group_name_Hall 'C 2c -2'
_cell_length_a 9.741
_cell_length_b 5.695
_cell_length_c 5.299
_cell_angle_alpha 90.00
_cell_angle_beta 90.00
_cell_angle_gamma 90.00
loop_
_atom_site_label
_atom_site_fract_x
_atom_site_fract_y
_atom_site_fract_z
Li1 0.000 0.171 0.000
Zn1 0.180 0.351 0.518
O1 0.165 0.331 0.885
F1 0.000 0.165 0.383
```

No. 2
Computed XRD peak list
Compound: LiZnOF
Radiation: a wavelength of 1.5418 Å
Structure: DFT lattice parameters and positions (PBE)
Kinematic intensities with the Lorentz-polarization factor, no thermal factor.

The 12 most intense peaks (5 to 70 degrees two-theta), in order of falling intensity:
2θ (°)  I_rel  hkl
30.66  100  1 0 0
19.02  63  0 0 1
50.07  47  1 0 2
36.33  41  1 0 1
38.59  33  0 0 2
54.51  32  1 1 0
68.76  29  1 1 2
58.26  17  1 1 1
63.85  11  2 0 0
67.28  7  2 0 1
68.35  7  1 0 3
59.42  3  0 0 3

Atomic structure:
```
data_LiZnOF
_chemical_formula_sum 'Li1 Zn1 O1 F1'
_symmetry_space_group_name_H-M 'P -6 m 2'
_symmetry_Int_Tables_number 187
_symmetry_space_group_name_Hall 'P -6 2'
_cell_length_a 3.3669
_cell_length_b 3.3669
_cell_length_c 4.6667
_cell_angle_alpha 90.00
_cell_angle_beta 90.00
_cell_angle_gamma 120.00
loop_
_atom_site_label
_atom_site_fract_x
_atom_site_fract_y
_atom_site_fract_z
Li1 0.0000 0.0000 0.0000
Zn1 0.3333 0.6667 0.5000
O1 0.0000 0.0000 0.5000
F1 0.3333 0.6667 0.0000
```

- What is the formula in the second record?
  LiZnOF